BaTiAlCuO5: calculated powder diffractogram (Cu Kα X-rays), based on a GGA-PBE-relaxed structure.
Kinematic intensities with the Lorentz-polarization factor, no thermal factor.

Main lines, low angle first (2θ from 10° to 80°):
3.436 Å, 25.9°, rel. 46
2.725 Å, 32.9°, rel. 100
2.712 Å, 33.0°, rel. 43
2.581 Å, 34.8°, rel. 25
1.917 Å, 47.4°, rel. 37
1.568 Å, 58.9°, rel. 36

a = 3.8346 Å, b = 3.8346 Å, c = 7.7442 Å
α = 90.00°, β = 90.00°, γ = 90.00°
Space group P4mm (No. 99)
Unique sites:
Ba  0.0000  0.0000  0.0000 [1 per cell]
Ti  0.5000  0.5000  0.6791 [1 per cell]
Al  0.0000  0.0000  0.4310 [1 per cell]
Cu  0.5000  0.5000  0.2683 [1 per cell]
O  0.0000  0.5000  0.2969 [2 per cell]
O  0.0000  0.5000  0.6247 [2 per cell]
O  0.5000  0.5000  0.9159 [1 per cell]